Starting from a cell relaxed with PBE, the powder diffractogram of U3TiSn5 was simulated for copper Kα.

Atomic structure:
abc: 9.137 9.137 6.059
angles: 90.00 90.00 120.00
Positions (direct):
U (0.000, 0.391, 0.250)
U (0.000, 0.609, 0.750)
U (0.391, 0.000, 0.250)
U (0.391, 0.391, 0.750)
U (0.609, 0.000, 0.750)
U (0.609, 0.609, 0.250)
Ti (0.000, 0.000, 0.000)
Ti (0.000, 0.000, 0.500)
Sn (0.000, 0.263, 0.750)
Sn (0.000, 0.737, 0.250)
Sn (0.263, 0.000, 0.750)
Sn (0.263, 0.263, 0.250)
Sn (0.333, 0.667, 0.000)
Sn (0.333, 0.667, 0.500)
Sn (0.667, 0.333, 0.000)
Sn (0.667, 0.333, 0.500)
Sn (0.737, 0.000, 0.250)
Sn (0.737, 0.737, 0.750)

Principal peaks in the range 15° ≤ 2θ ≤ 90°, sorted by position:
24.40°, d 3.648, intensity 266
29.48°, d 3.030, intensity 263
33.41°, d 2.682, intensity 1000
33.99°, d 2.638, intensity 801
35.56°, d 2.525, intensity 930
43.88°, d 2.063, intensity 424
50.01°, d 1.824, intensity 188
54.85°, d 1.674, intensity 253
62.49°, d 1.486, intensity 158
64.15°, d 1.452, intensity 216
66.68°, d 1.403, intensity 171
71.87°, d 1.314, intensity 197

***

Starting from a cell relaxed with PBE, the powder diffractogram of Zn3Co2C12N12 was simulated for copper Kα.

Atomic structure:
abc: 7.308 7.308 10.331
angles: 90.00 90.00 90.00
Positions (direct):
Zn (0.000, 0.000, 0.000)
Zn (0.000, 0.500, 0.254)
Zn (0.500, 0.000, 0.746)
Co (0.000, 0.500, 0.749)
Co (0.500, 0.000, 0.251)
C (0.000, 0.500, 0.568)
C (0.000, 0.500, 0.930)
C (0.181, 0.319, 0.750)
C (0.181, 0.681, 0.750)
C (0.319, 0.181, 0.250)
C (0.319, 0.819, 0.250)
C (0.500, 0.000, 0.070)
C (0.500, 0.000, 0.432)
C (0.681, 0.181, 0.250)
C (0.681, 0.819, 0.250)
C (0.819, 0.319, 0.750)
C (0.819, 0.681, 0.750)
N (0.000, 0.500, 0.044)
N (0.000, 0.500, 0.455)
N (0.204, 0.292, 0.247)
N (0.204, 0.708, 0.247)
N (0.292, 0.204, 0.753)
N (0.292, 0.796, 0.753)
N (0.500, 0.000, 0.545)
N (0.500, 0.000, 0.956)
N (0.708, 0.204, 0.753)
N (0.708, 0.796, 0.753)
N (0.796, 0.292, 0.247)
N (0.796, 0.708, 0.247)

Principal peaks in the range 15° ≤ 2θ ≤ 90°, sorted by position:
17.16°, d 5.167, intensity 1000
24.36°, d 3.654, intensity 598
34.72°, d 2.583, intensity 448
38.98°, d 2.311, intensity 234
42.87°, d 2.109, intensity 156
49.92°, d 1.827, intensity 206
53.18°, d 1.722, intensity 107
56.31°, d 1.634, intensity 210
65.09°, d 1.433, intensity 84
67.87°, d 1.381, intensity 160
78.55°, d 1.218, intensity 68
88.83°, d 1.102, intensity 60

***

Starting from a cell relaxed with PBE, the powder diffractogram of Ho3Sb was simulated for copper Kα.

Atomic structure:
abc: 6.146 6.146 6.146
angles: 135.89 135.89 64.15
Positions (direct):
Ho (0.000, 0.000, 0.000)
Ho (0.250, 0.750, 0.500)
Ho (0.750, 0.250, 0.500)
Sb (0.500, 0.500, 0.000)

Principal peaks in the range 15° ≤ 2θ ≤ 90°, sorted by position:
32.37°, d 2.765, intensity 1000
34.44°, d 2.604, intensity 212
39.03°, d 2.308, intensity 301
53.02°, d 1.727, intensity 249
56.39°, d 1.632, intensity 103
60.40°, d 1.533, intensity 168
66.54°, d 1.405, intensity 251
67.77°, d 1.383, intensity 119
72.62°, d 1.302, intensity 24
83.85°, d 1.154, intensity 34
85.67°, d 1.134, intensity 64
87.28°, d 1.117, intensity 124